# 1
# SbF5
Computed powder diffraction line list, a wavelength of 1.5418 Å. Input: DFT lattice parameters and positions (PBE).
Intensities are scaled so that the largest is 100.

Main lines, in order of rising 2θ (2θ = 10–90°):
d 4.967, intensity 100; d 4.160, intensity 30; d 3.572, intensity 43; d 3.333, intensity 35; d 2.531, intensity 12; d 1.837, intensity 14

Cell and atoms:
Unit cell a=5.5467 b=5.5550 c=7.8689 alpha=95.23 beta=110.17 gamma=112.19
Atoms (fractional coordinates):
Sb1 0.0000 0.0000 0.0000
Sb2 0.5000 0.0000 0.5000
F1 0.0005 0.6984 0.8697
F2 0.1572 0.9043 0.2492
F3 0.3147 0.6586 0.5342
F4 0.3279 0.1375 0.6264
F5 0.3748 0.2122 0.0288
F6 0.6252 0.7878 0.9712
F7 0.6721 0.8625 0.3736
F8 0.6853 0.3414 0.4658
F9 0.8428 0.0957 0.7508
F10 0.9995 0.3016 0.1303



# 2
# Ac2Hg2Ge3
Computed powder diffraction line list, a wavelength of 1.5418 Å. Input: DFT lattice parameters and positions (PBE).
Intensities are scaled so that the largest is 100.

Main lines, in order of rising 2θ (2θ = 10–90°):
d 3.276, intensity 100; d 2.931, intensity 32; d 2.675, intensity 24; d 2.477, intensity 37; d 2.317, intensity 31; d 1.397, intensity 26

Cell and atoms:
Unit cell a=8.0256 b=8.0256 c=8.0256 alpha=109.47 beta=109.47 gamma=109.47
Atoms (fractional coordinates):
Ac1 0.0000 0.0066 0.5000
Ac2 0.0066 0.5000 0.0000
Ac3 0.4934 0.4934 0.4934
Ac4 0.5000 0.0000 0.0066
Hg1 0.0000 0.6063 0.5000
Hg2 0.5000 0.0000 0.6063
Hg3 0.6063 0.5000 0.0000
Hg4 0.8937 0.8937 0.8937
Ge1 0.0034 0.2500 0.2534
Ge2 0.2466 0.4966 0.7500
Ge3 0.2500 0.2534 0.0034
Ge4 0.2534 0.0034 0.2500
Ge5 0.4966 0.7500 0.2466
Ge6 0.7500 0.2466 0.4966